# 1
Structure and simulated XRD peak list of AcNd3Os (the PBE geometry in Alexandria; Cu Ka).

Principal peaks in the range 5° ≤ 2θ ≤ 70°, by angle:
2θ/deg, d [Å], intensity
11.44, 7.737, 61
27.97, 3.191, 93
28.55, 3.127, 66
28.86, 3.093, 64
29.19, 3.059, 65
32.53, 2.752, 100
32.86, 2.725, 56
33.62, 2.665, 66
34.09, 2.630, 61
34.87, 2.573, 58

Structural model:
```
20
Lattice="7.9776 0.0000 0.0000 0.0000 7.8325 0.0000 -2.6095 0.0000 10.3866" Properties=species:S:1:pos:R:3 pbc="T T T"
Ac 1.0123 0.3369 2.6110
Ac -0.2924 3.5794 7.8043
Ac 5.6605 4.2532 2.5823
Ac 4.3558 7.4956 7.7756
Nd 0.5772 5.5453 0.3196
Nd -0.7275 6.2035 5.5129
Nd 1.4607 4.0472 3.9036
Nd 0.1560 7.7016 9.0969
Nd 1.5754 0.9730 6.1791
Nd 2.8801 2.9432 0.9858
Nd 2.4880 4.8893 9.4008
Nd 3.7928 6.8595 4.2075
Nd 5.2122 0.1309 1.2897
Nd 3.9075 3.7854 6.4829
Nd 6.0957 1.6291 4.8737
Nd 4.7909 2.2872 10.0670
Os 1.9777 5.8631 6.3550
Os 3.2825 5.8857 1.1618
Os 2.0857 1.9468 9.2248
Os 3.3904 1.9695 4.0315
```



# 2
Structure and simulated XRD peak list of AcNdOs (the PBE geometry in Alexandria; Cu Ka).

Principal peaks in the range 5° ≤ 2θ ≤ 70°, by angle:
2θ/deg, d [Å], intensity
21.52, 4.130, 31
24.89, 3.577, 13
35.49, 2.529, 100
41.88, 2.157, 17
43.84, 2.065, 4
51.07, 1.788, 18
56.03, 1.641, 7
57.62, 1.600, 5
63.73, 1.460, 37
68.11, 1.377, 6

Structural model:
```
3
Lattice="0.0000 3.5768 3.5768 3.5768 0.0000 3.5768 3.5768 3.5768 0.0000" Properties=species:S:1:pos:R:3 pbc="T T T"
Ac 0.0000 0.0000 0.0000
Nd 3.5768 3.5768 3.5768
Os 5.3653 5.3653 5.3653
```



# 3
Structure and simulated XRD peak list of AcNd2PaP4 (the PBE geometry in Alexandria; Cu Ka).

Principal peaks in the range 5° ≤ 2θ ≤ 70°, by angle:
2θ/deg, d [Å], intensity
16.78, 5.284, 9
26.12, 3.412, 96
30.24, 2.955, 100
43.30, 2.090, 75
51.20, 1.784, 17
51.30, 1.781, 33
53.73, 1.706, 26
62.78, 1.480, 4
62.96, 1.476, 8
69.30, 1.356, 21

Structural model:
```
8
Lattice="-2.9526 2.9526 5.9201 2.9526 -2.9526 5.9201 2.9526 2.9526 -5.9201" Properties=species:S:1:pos:R:3 pbc="T T T"
Ac 0.0000 0.0000 0.0000
Nd 0.0000 0.0000 5.9201
Nd 0.0000 2.9526 2.9600
Pa 2.9526 0.0000 2.9600
P 2.9526 0.0000 0.1763
P 0.0000 0.0000 3.0254
P 2.9526 0.0000 5.7438
P 0.0000 0.0000 8.8148
```



# 4
Structure and simulated XRD peak list of Ac8NdPb2 (the PBE geometry in Alexandria; Cu Ka).

Principal peaks in the range 5° ≤ 2θ ≤ 70°, by angle:
2θ/deg, d [Å], intensity
18.76, 4.730, 24
23.38, 3.805, 36
23.56, 3.777, 46
28.34, 3.149, 45
28.75, 3.105, 50
29.02, 3.077, 38
29.16, 3.062, 100
30.86, 2.898, 26
37.26, 2.413, 36
48.25, 1.886, 29

Structural model:
```
11
Lattice="8.2590 -4.7300 0.0000 8.2590 4.7300 0.0000 -2.6444 0.0000 6.2739" Properties=species:S:1:pos:R:3 pbc="T T T"
Ac 4.9769 2.8318 3.7883
Ac -0.6008 0.0000 5.7482
Ac 8.8966 2.8318 2.4856
Ac 3.4962 0.0000 6.0439
Ac 10.3774 0.0000 0.2301
Ac 4.9769 -2.8318 3.7883
Ac 14.4744 0.0000 0.5258
Ac 8.8966 -2.8318 2.4856
Nd 6.9368 0.0000 3.1370
Pb 3.6291 0.0000 2.4293
Pb 10.2445 0.0000 3.8446
```



# 5
Structure and simulated XRD peak list of AcNd3Pb (the PBE geometry in Alexandria; Cu Ka).

Principal peaks in the range 5° ≤ 2θ ≤ 70°, by angle:
2θ/deg, d [Å], intensity
27.33, 3.263, 37
28.05, 3.181, 19
28.22, 3.163, 29
28.61, 3.120, 36
28.96, 3.083, 28
29.83, 2.996, 25
30.04, 2.975, 44
31.43, 2.847, 46
31.63, 2.828, 100
36.50, 2.462, 19

Structural model:
```
20
Lattice="9.0026 0.0000 0.0000 0.0000 9.1422 0.0000 -5.4803 0.0000 8.7607" Properties=species:S:1:pos:R:3 pbc="T T T"
Ac 0.0407 0.6686 2.4444
Ac -2.6994 3.9025 6.8247
Ac 6.2217 5.2397 1.9360
Ac 3.4815 8.4736 6.3163
Nd 0.5738 6.3867 0.6919
Nd -2.1663 7.3266 5.0723
Nd -2.9530 0.5834 8.5152
Nd -0.2129 3.9877 4.1348
Nd -0.0976 0.8789 6.0528
Nd 2.6426 3.6922 1.6724
Nd 0.8797 5.4500 7.0883
Nd 3.6199 8.2634 2.7079
Nd 3.7352 5.1545 4.6259
Nd 6.4753 8.5588 0.2455
Nd 5.6886 1.8156 3.6884
Nd 2.9485 2.7555 8.0688
Pb -1.7557 6.7178 8.5355
Pb 0.9845 6.9956 4.1551
Pb 2.5378 2.1467 4.6056
Pb 5.2780 2.4245 0.2252
```



# 6
Structure and simulated XRD peak list of Ac6NdPb6 (the PBE geometry in Alexandria; Cu Ka).

Principal peaks in the range 5° ≤ 2θ ≤ 70°, by angle:
2θ/deg, d [Å], intensity
21.84, 4.069, 33
25.27, 3.524, 59
28.73, 3.107, 57
31.47, 2.843, 100
39.58, 2.277, 15
42.84, 2.111, 20
44.53, 2.035, 45
55.54, 1.655, 21
59.50, 1.554, 23
62.22, 1.492, 15

Structural model:
```
13
Lattice="8.1382 0.0000 0.0000 -4.0691 7.0479 0.0000 0.0000 0.0000 9.6231" Properties=species:S:1:pos:R:3 pbc="T T T"
Ac -2.0346 3.5240 2.3655
Ac -2.0346 3.5240 7.2576
Ac 4.0691 0.0000 2.3655
Ac 4.0691 0.0000 7.2576
Ac 2.0346 3.5240 2.3655
Ac 2.0346 3.5240 7.2576
Nd 0.0000 0.0000 4.8116
Pb 0.0000 0.0000 1.5935
Pb 0.0000 0.0000 8.0296
Pb 0.0000 4.6986 0.0000
Pb 0.0000 4.6986 4.8116
Pb 4.0691 2.3493 0.0000
Pb 4.0691 2.3493 4.8116
```



# 7
Structure and simulated XRD peak list of AcNd2Pd4 (the PBE geometry in Alexandria; Cu Ka).

Principal peaks in the range 5° ≤ 2θ ≤ 70°, by angle:
2θ/deg, d [Å], intensity
27.82, 3.207, 17
31.33, 2.855, 100
32.15, 2.784, 34
35.34, 2.540, 20
38.47, 2.340, 33
40.47, 2.229, 27
41.28, 2.187, 17
44.97, 2.016, 20
52.60, 1.740, 17
60.63, 1.527, 18

Structural model:
```
7
Lattice="-2.0159 2.2288 9.6220 2.0159 -2.2288 9.6220 2.0159 2.2288 -9.6220" Properties=species:S:1:pos:R:3 pbc="T T T"
Ac 0.0000 0.0000 0.0000
Nd 2.0159 0.0000 6.0459
Nd 0.0000 2.2288 3.5762
Pd 2.0159 0.0000 3.0443
Pd 0.0000 0.0000 8.2720
Pd 0.0000 0.0000 10.9721
Pd 0.0000 2.2288 6.5777
```



# 8
Structure and simulated XRD peak list of AcNdPd (the PBE geometry in Alexandria; Cu Ka).

Principal peaks in the range 5° ≤ 2θ ≤ 70°, by angle:
2θ/deg, d [Å], intensity
16.27, 5.449, 39
25.16, 3.540, 45
27.38, 3.258, 38
28.43, 3.139, 41
30.50, 2.931, 100
31.00, 2.885, 35
34.11, 2.628, 40
35.84, 2.505, 40
42.48, 2.128, 33
52.56, 1.741, 29

Structural model:
```
12
Lattice="7.4535 0.0000 0.0000 0.0000 6.3782 0.0000 -6.9627 0.0000 8.5117" Properties=species:S:1:pos:R:3 pbc="T T T"
Ac -1.2250 0.8997 3.2763
Ac -4.7064 2.2894 7.5322
Ac 5.1972 4.0888 0.9795
Ac 1.7158 5.4785 5.2353
Nd -1.9789 4.0191 5.4185
Nd 1.5024 5.5482 1.1627
Nd -1.0116 0.8300 7.3490
Nd 2.4698 2.3591 3.0932
Pd -0.1112 4.0564 3.1121
Pd -3.5926 5.5109 7.3680
Pd 4.0834 0.8673 1.1437
Pd 0.6020 2.3218 5.3995
```